Starting from a PBE-relaxed structure, the powder diffraction line list of Ca8Al was computed for Cu Kα (weighted mean of Kα1 and Kα2).
Neutral-atom scattering factors, no anomalous dispersion.

Structure:
Lattice parameters (Å, degrees): 8.3488 8.3488 8.3488 95.82 95.82 142.85
Sites, in units of the cell vectors:
Ca 0.0000 0.3214 0.3214
Ca 0.0000 0.6786 0.6786
Ca 0.3214 0.0000 0.3214
Ca 0.3449 0.3449 0.6899
Ca 0.3449 0.6551 0.0000
Ca 0.6551 0.3449 0.0000
Ca 0.6551 0.6551 0.3101
Ca 0.6786 0.0000 0.6786
Al 0.0000 0.0000 0.0000

Top 6 peaks for 10 to 90 degrees two-theta, by intensity:
2θ/deg, Rel. int.
29.2, 100
34.0, 32
57.9, 21
48.6, 21
33.7, 17
57.6, 12

=====

Starting from a PBE-relaxed structure, the powder diffraction line list of Ca2Al was computed for Cu Kα (weighted mean of Kα1 and Kα2).
Neutral-atom scattering factors, no anomalous dispersion.

Structure:
Lattice parameters (Å, degrees): 7.2035 7.2035 7.2035 150.06 150.06 42.86
Sites, in units of the cell vectors:
Ca 0.1380 0.1380 0.0000
Ca 0.8620 0.8620 0.0000
Al 0.5000 0.5000 0.0000

Top 6 peaks for 10 to 90 degrees two-theta, by intensity:
2θ/deg, Rel. int.
31.3, 100
34.1, 49
59.2, 28
48.9, 16
66.1, 16
41.5, 15

=====

Starting from a PBE-relaxed structure, the powder diffraction line list of CaAlCd3 was computed for Cu Kα (weighted mean of Kα1 and Kα2).
Neutral-atom scattering factors, no anomalous dispersion.

Structure:
Lattice parameters (Å, degrees): 6.5421 6.5421 6.4104 90.00 90.00 115.13
Sites, in units of the cell vectors:
Ca 0.2297 0.7703 0.7500
Ca 0.7703 0.2297 0.2500
Al 0.0856 0.9144 0.2500
Al 0.9144 0.0856 0.7500
Cd 0.2902 0.2902 0.0000
Cd 0.2902 0.2902 0.5000
Cd 0.3226 0.6774 0.2500
Cd 0.6774 0.3226 0.7500
Cd 0.7098 0.7098 0.0000
Cd 0.7098 0.7098 0.5000

Top 6 peaks for 10 to 90 degrees two-theta, by intensity:
2θ/deg, Rel. int.
32.3, 100
30.2, 100
38.0, 88
16.1, 43
15.0, 36
39.4, 35